# Li2Hf3Mg2
Simulated powder diffraction line list, CuKα. Input: a structure optimized by DFT (GGA-PBE).

Structural model:
Cell lengths 3.132, 32.009, 3.084 Å; angles 90.00, 90.00, 90.00 degrees
Space group Cmmm (No. 65)
Symmetry-distinct sites (fractional):
1 Li 0.000 0.212 0.000 [4 per cell]
2 Hf 0.000 0.069 0.000 [4 per cell]
3 Hf 0.000 0.500 0.500 [2 per cell]
4 Mg 0.000 0.356 0.500 [4 per cell]

Peak list (8 most intense, 5° ≤ 2θ ≤ 70°, low angle first)
(hkl)	two_theta	d (Å)	intensity
0 2 0	5.52	16.005	100
1 5 0	31.81	2.813	4
0 6 1	33.57	2.669	8
1 7 0	34.72	2.584	8
0 8 1	36.80	2.443	6
1 9 0	38.29	2.351	3
1 1 1	41.18	2.192	8
1 13 1	56.10	1.639	3